The following is a computed powder diffraction line list of Li2TiCr3O8. It was derived from a GGA+U-relaxed structure, using a wavelength of 1.5418 Å.
Intensities are scaled so that the largest is 1000.

Atomic structure:
```
data_Li2TiCr3O8
_chemical_formula_sum 'Li8 Ti4 Cr12 O32'
_cell_length_a 10.2621
_cell_length_b 5.9412
_cell_length_c 10.3623
_cell_angle_alpha 90.00
_cell_angle_beta 109.53
_cell_angle_gamma 90.00
_space_group_name_H-M_alt 'C 1 2/c 1'
_space_group_IT_number 15
loop_
_space_group_symop_operation_xyz
'x,y,z'
'-x,-y,-z'
'-x,y,-z+1/2'
'x,-y,z+1/2'
'x+1/2,y+1/2,z'
'-x+1/2,-y+1/2,-z'
'-x+1/2,y+1/2,-z+1/2'
'x+1/2,-y+1/2,z+1/2'
loop_
_atom_site_label
_atom_site_fract_x
_atom_site_fract_y
_atom_site_fract_z
Li1 0.1855 0.2427 0.3128
Ti1 0.2500 0.2500 0.0000
Cr1 0.0000 0.0000 0.0000
Cr2 0.0000 0.2597 0.7500
Cr3 0.0000 0.5000 0.0000
O1 0.1027 0.2618 0.6138
O2 0.1205 0.0321 0.8813
O3 0.1212 0.2542 0.1068
O4 0.1211 0.4827 0.8873
```

Peak list (10 most intense, 2θ = 10–80°, by angle)
2θ (°), I_rel
18.17, 347
18.30, 1000
35.26, 151
35.36, 218
35.48, 245
43.01, 761
56.81, 121
62.17, 150
62.49, 148
62.68, 148